# 1
Diffraction record for Nb3Sn. The powder diffractogram is simulated, not measured: it uses DFT lattice parameters and positions (PBE) and Cu Kα.

Atomic structure:
```
8
Lattice="5.335 0.000 0.000 0.000 5.335 0.000 0.000 0.000 5.335" Properties=species:S:1:pos:R:3 pbc="T T T"
Nb 0.000 1.334 2.667
Nb 0.000 4.001 2.667
Nb 1.334 2.667 0.000
Nb 2.667 0.000 1.334
Nb 2.667 0.000 4.001
Nb 4.001 2.667 0.000
Sn 0.000 0.000 0.000
Sn 2.667 2.667 2.667
```

Most intense lines, 10 to 90 degrees two-theta, most intense first:
- 2θ = 37.7°, d = 2.386 Å, rel. 100, hkl 2 1 0
- 2θ = 41.5°, d = 2.178 Å, rel. 100, hkl 2 1 1
- 2θ = 65.5°, d = 1.426 Å, rel. 52, hkl 3 2 1
- 2θ = 33.6°, d = 2.667 Å, rel. 44, hkl 2 0 0
- 2θ = 62.8°, d = 1.480 Å, rel. 22, hkl 3 2 0
- 2θ = 82.9°, d = 1.164 Å, rel. 19, hkl 4 2 1
- 2θ = 70.6°, d = 1.334 Å, rel. 18, hkl 4 0 0
- 2θ = 80.5°, d = 1.193 Å, rel. 15, hkl 4 2 0
- 2θ = 85.3°, d = 1.137 Å, rel. 13, hkl 3 3 2
- 2θ = 60.1°, d = 1.540 Å, rel. 6, hkl 2 2 2

=====

# 2
Diffraction record for TbNb6Sn6. The powder diffractogram is simulated, not measured: it uses DFT lattice parameters and positions (PBE) and Cu Kα.

Atomic structure:
```
13
Lattice="5.814 0.000 0.000 -2.907 5.035 0.000 0.000 0.000 9.607" Properties=species:S:1:pos:R:3 pbc="T T T"
Tb 0.000 0.000 0.000
Nb -1.453 2.517 2.395
Nb -1.453 2.517 7.211
Nb 2.907 0.000 2.395
Nb 2.907 0.000 7.211
Nb 1.453 2.517 2.395
Nb 1.453 2.517 7.211
Sn 0.000 0.000 3.176
Sn 0.000 0.000 6.430
Sn 0.000 3.357 0.000
Sn 0.000 3.357 4.803
Sn 2.907 1.678 0.000
Sn 2.907 1.678 4.803
```

Most intense lines, 10 to 90 degrees two-theta, most intense first:
- 2θ = 36.1°, d = 2.487 Å, rel. 100, hkl 1 1 2
- 2θ = 40.5°, d = 2.230 Å, rel. 91, hkl 2 0 2
- 2θ = 30.8°, d = 2.907 Å, rel. 74, hkl 1 1 0
- 2θ = 35.7°, d = 2.517 Å, rel. 55, hkl 2 0 0
- 2θ = 33.2°, d = 2.702 Å, rel. 41, hkl 1 0 3
- 2θ = 64.1°, d = 1.453 Å, rel. 41, hkl 2 2 0
- 2θ = 66.7°, d = 1.402 Å, rel. 40, hkl 1 1 6
- 2θ = 37.4°, d = 2.402 Å, rel. 37, hkl 0 0 4
- 2θ = 76.6°, d = 1.243 Å, rel. 28, hkl 2 2 4
- 2θ = 58.2°, d = 1.584 Å, rel. 25, hkl 3 0 2